LiNiP2O7: computed powder diffraction line list (CuKα), based on a cell relaxed with PBE+U.
Lines closer than 0.1° are merged.

Structural model:
abc: 5.070 6.870 8.368
angles: 68.07 87.53 87.49
Fractional coordinates of all 22 atoms:
Li1 0.000 0.000 0.000
Li2 0.494 0.627 0.563
Ni1 0.467 0.018 0.279
Ni2 0.974 0.590 0.831
P1 0.454 0.927 0.737
P2 0.497 0.263 0.868
P3 0.943 0.360 0.255
P4 0.985 0.704 0.387
O1 0.027 0.525 0.083
O2 0.146 0.181 0.324
O3 0.173 0.871 0.810
O4 0.283 0.731 0.356
O5 0.336 0.468 0.784
O6 0.364 0.102 0.027
O7 0.485 0.922 0.555
O8 0.500 0.164 0.716
O9 0.663 0.785 0.854
O10 0.673 0.272 0.257
O11 0.788 0.297 0.890
O12 0.823 0.867 0.246
O13 0.885 0.681 0.570
O14 0.919 0.472 0.393

Main lines, by angle (5° ≤ 2θ ≤ 70°):
| 2theta | I/Imax | index |
| --- | --- | --- |
| 14.3 | 74 | 0 1 1 |
| 22.1 | 74 | 1 1 0 |
| 22.8 | 96 | 1 -1 0 |
| 22.9 | 100 | 0 0 2 |
| 30.8 | 39 | 1 2 1 |
| 32.2 | 37 | -1 2 1 |
| 35.5 | 28 | 2 0 0 |
| 35.8 | 17 | 1 -1 2 |
| 38.4 | 15 | 1 2 -1 |
| 39.1 | 17 | -2 1 1 |